Entry 1:
Diffraction record for CdH2I2. The powder XRD pattern is computed, not measured: it uses a cell relaxed with PBE and Cu Kα (weighted mean of Kα1 and Kα2).

Largest 10 diffraction maxima, by angle, 5 to 70 degrees two-theta:
d/Å  2theta  I_rel
7.030  12.59  100
3.864  23.02  26
3.830  23.23  25
3.813  23.33  23
3.797  23.43  24
2.982  29.96  15
2.437  36.88  12
2.412  37.29  12
2.401  37.46  13
2.343  38.42  20

Cell and atoms:
```
20
Lattice="10.0672 0.0000 0.0000 0.0000 9.8212 0.0000 -0.0851 0.0000 7.5079" Properties=species:S:1:pos:R:3 pbc="T T T"
Cd 2.3986 2.4499 3.7291
Cd 2.3560 2.4607 7.4830
Cd 7.6261 7.3605 0.0249
Cd 7.5835 7.3713 3.7788
H 2.3802 7.2393 7.1466
H 2.4227 7.4924 3.3927
H 2.6556 7.1883 4.0386
H 2.6981 7.5434 0.2846
H 7.2840 2.2777 7.2232
H 7.3265 2.6329 3.4693
H 7.5593 2.3288 4.1152
H 7.6019 2.5818 0.3612
I 0.8529 0.9491 5.5918
I 0.8955 3.9615 1.8379
I 3.9401 0.9445 1.8669
I 3.8975 3.9661 5.6209
I 6.0846 5.8550 1.8870
I 6.0420 8.8767 5.6409
I 9.0866 5.8597 5.6700
I 9.1292 8.8720 1.9161
```

Entry 2:
Diffraction record for CdH6I. The powder XRD pattern is computed, not measured: it uses a cell relaxed with PBE and Cu Kα (weighted mean of Kα1 and Kα2).

Largest 10 diffraction maxima, by angle, 5 to 70 degrees two-theta:
d/Å  2theta  I_rel
5.176  17.13  100
3.633  24.50  42
3.447  25.85  37
3.355  26.57  39
3.141  28.41  30
2.722  32.90  20
2.653  33.78  19
2.588  34.66  19
2.573  34.87  17
2.446  36.75  15

Cell and atoms:
```
8
Lattice="4.8033 0.0000 0.0000 1.7448 5.1782 0.0000 0.5190 0.1576 5.4441" Properties=species:S:1:pos:R:3 pbc="T T T"
Cd 0.0000 0.0000 0.0000
H 1.3457 0.2573 1.2064
H 3.0724 3.2144 1.8548
H 2.8365 2.4847 1.8834
H 4.2306 2.8512 3.5608
H 3.9947 2.1214 3.5893
H 5.7214 5.0785 4.2377
I 2.6611 0.0788 2.7221
```

Entry 3:
Diffraction record for CdH6IN2. The powder XRD pattern is computed, not measured: it uses a cell relaxed with PBE and Cu Kα (weighted mean of Kα1 and Kα2).

Largest 10 diffraction maxima, by angle, 5 to 70 degrees two-theta:
d/Å  2theta  I_rel
5.550  15.97  100
3.749  23.73  50
3.150  28.34  37
3.107  28.74  55
3.019  29.59  20
2.995  29.84  32
2.739  32.69  36
2.229  40.46  34
2.170  41.61  25
1.899  47.89  20

Cell and atoms:
```
20
Lattice="5.5499 -4.6650 0.0000 5.5499 4.6650 0.0000 0.0000 0.0000 6.2993" Properties=species:S:1:pos:R:3 pbc="T T T"
Cd 5.5499 4.2089 4.7245
Cd 5.5499 -4.2089 1.5748
H 2.6782 1.9031 1.5748
H 4.0473 1.9140 3.8952
H 4.0473 1.9140 5.5537
H 7.0524 1.9140 3.8952
H 7.0524 1.9140 5.5537
H 2.6782 -1.9031 4.7245
H 8.4216 1.9031 1.5748
H 4.0473 -1.9140 0.7456
H 4.0473 -1.9140 2.4041
H 7.0524 -1.9140 0.7456
H 7.0524 -1.9140 2.4041
H 8.4216 -1.9031 4.7245
I 5.5499 1.5750 1.5748
I 5.5499 -1.5750 4.7245
N 3.8614 2.4888 4.7245
N 7.2384 2.4888 4.7245
N 3.8614 -2.4888 1.5748
N 7.2384 -2.4888 1.5748
```

Entry 4:
Diffraction record for RbCdH2I3O. The powder XRD pattern is computed, not measured: it uses a cell relaxed with PBE and Cu Kα (weighted mean of Kα1 and Kα2).

Largest 10 diffraction maxima, by angle, 5 to 70 degrees two-theta:
d/Å  2theta  I_rel
7.873  11.24  52
3.937  22.59  31
3.800  23.41  28
3.587  24.82  22
3.584  24.84  19
3.455  25.79  100
3.325  26.81  32
2.246  40.15  30
2.186  41.29  21
2.070  43.73  17

Cell and atoms:
```
16
Lattice="5.7237 -5.4232 0.0000 5.7237 5.4232 0.0000 -0.0104 0.0000 8.6806" Properties=species:S:1:pos:R:3 pbc="T T T"
Rb 5.7185 3.8968 4.3403
Rb 5.7237 -3.8968 0.0000
Cd 6.9924 0.3762 1.2555
Cd 6.9872 -0.3762 5.5958
H 4.9264 3.8886 7.7245
H 6.4589 3.7391 7.8219
H 4.9315 -3.8886 3.3842
H 6.4641 -3.7391 3.4816
I 7.9964 2.9709 1.2399
I 5.1421 0.0720 3.4338
I 5.1369 -0.0720 7.7740
I 8.8805 1.6798 5.5653
I 8.8857 -1.6798 1.2250
I 7.9912 -2.9709 5.5802
O 5.7588 4.2102 7.3145
O 5.7640 -4.2102 2.9742
```

Entry 5:
Diffraction record for CdH2SI2. The powder XRD pattern is computed, not measured: it uses a cell relaxed with PBE and Cu Kα (weighted mean of Kα1 and Kα2).

Largest 10 diffraction maxima, by angle, 5 to 70 degrees two-theta:
d/Å  2theta  I_rel
7.010  12.63  100
3.643  24.44  53
3.294  27.07  57
3.142  28.41  19
3.077  29.02  14
2.567  34.96  52
2.363  38.09  15
2.336  38.54  22
2.219  40.65  21
2.064  43.86  19

Cell and atoms:
```
12
Lattice="6.2088 -4.2467 0.0000 6.2088 4.2467 0.0000 0.0000 0.0000 7.0857" Properties=species:S:1:pos:R:3 pbc="T T T"
Cd 6.2088 3.5922 3.5429
Cd 6.2088 -3.5922 0.0000
H 5.2289 1.7180 5.9138
H 7.1887 1.7180 5.9138
H 5.2289 -1.7180 2.3709
H 7.1887 -1.7180 2.3709
S 6.2088 1.3262 5.0558
S 6.2088 -1.3262 1.5129
I 1.9821 1.0737 4.9536
I 1.9821 -1.0737 1.4108
I 10.4355 1.0737 4.9536
I 10.4355 -1.0737 1.4108
```

Entry 6:
Diffraction record for RbCdInH2. The powder XRD pattern is computed, not measured: it uses a cell relaxed with PBE and Cu Kα (weighted mean of Kα1 and Kα2).

Largest 10 diffraction maxima, by angle, 5 to 70 degrees two-theta:
d/Å  2theta  I_rel
7.288  12.14  86
3.644  24.43  59
3.102  28.78  100
2.961  30.18  88
2.753  32.53  64
2.725  32.86  62
2.197  41.09  30
2.182  41.37  29
1.850  49.26  38
1.819  50.16  37

Cell and atoms:
```
10
Lattice="5.4664 0.0000 0.0000 0.0000 14.5767 0.0000 -2.5236 0.0000 2.7528" Properties=species:S:1:pos:R:3 pbc="T T T"
Rb 0.0000 0.0000 0.0000
Rb 2.7332 7.2883 0.0000
Cd 0.0000 4.2759 0.0000
Cd 2.7332 11.5642 0.0000
In 0.0000 10.4302 0.0000
In 2.7332 3.1418 0.0000
H 0.0000 6.1023 0.0000
H 0.0000 8.5843 0.0000
H 2.7332 1.2960 0.0000
H 2.7332 13.3907 0.0000
```

Entry 7:
Diffraction record for Y2CdInH. The powder XRD pattern is computed, not measured: it uses a cell relaxed with PBE and Cu Kα (weighted mean of Kα1 and Kα2).

Largest 10 diffraction maxima, by angle, 5 to 70 degrees two-theta:
d/Å  2theta  I_rel
4.568  19.43  1
3.395  26.25  1
2.725  32.87  100
2.400  37.47  35
2.284  39.45  15
1.697  54.03  12
1.655  55.54  22
1.441  64.70  27
1.389  67.40  12
1.362  68.92  11

Cell and atoms:
```
5
Lattice="4.8008 0.0000 0.0000 0.0000 4.8008 0.0000 0.0000 0.0000 4.5684" Properties=species:S:1:pos:R:3 pbc="T T T"
Y 0.0000 2.4004 0.0000
Y 2.4004 0.0000 0.0000
Cd 0.0000 0.0000 2.2842
In 2.4004 2.4004 2.2842
H 0.0000 0.0000 0.0000
```

Entry 8:
Diffraction record for Cd2H6Ir. The powder XRD pattern is computed, not measured: it uses a cell relaxed with PBE and Cu Kα (weighted mean of Kα1 and Kα2).

Largest 10 diffraction maxima, by angle, 5 to 70 degrees two-theta:
d/Å  2theta  I_rel
4.655  19.07  46
3.695  24.08  21
3.534  25.20  100
2.704  33.13  25
2.526  35.53  34
2.338  38.50  22
2.299  39.18  39
2.239  40.28  65
1.909  47.64  15
1.846  49.37  16

Cell and atoms:
```
18
Lattice="4.9144 0.0000 0.0000 0.0000 5.4073 0.0000 -2.5024 0.0000 7.3909" Properties=species:S:1:pos:R:3 pbc="T T T"
Cd 0.1712 0.4019 2.7992
Cd -1.0800 2.3017 6.4946
Cd 3.4920 3.1056 0.8963
Cd 2.2408 5.0054 4.5917
H -1.2869 0.0379 6.2297
H -0.0357 2.6658 2.5343
H 0.9192 4.0018 0.3130
H -0.3320 4.1092 4.0085
H 1.1825 0.7566 0.9457
H -0.0687 1.9471 4.6412
H 2.4807 3.4602 2.7497
H 1.2295 4.6508 6.4452
H 2.7440 1.2982 3.3824
H 1.4928 1.4055 7.0779
H 2.4477 2.7415 4.8567
H 3.6989 5.3694 1.1612
Ir 0.0000 0.0000 0.0000
Ir -1.2512 2.7037 3.6955
```